Theoretical powder XRD pattern
Compound: La2NdMn6Si6
Radiation: Cu Kα, 1.54184 Å
Structure: DFT lattice parameters and positions (PBE)

Top 8 peaks for 5° ≤ 2θ ≤ 70°, in order of rising 2θ:
Position (°2θ)	I_rel	(hkl)
23.81	44	1 0 3
33.85	80	0 0 12
36.03	100	1 1 6
45.42	39	2 0 0
48.60	21	1 0 15
57.83	41	2 0 12
61.93	20	1 1 18
68.70	15	2 1 15

Structural model:
```
data_La2NdMn6Si6
_chemical_formula_sum 'La4 Nd2 Mn12 Si12'
_symmetry_space_group_name_H-M 'I 4/m m m'
_symmetry_Int_Tables_number 139
_symmetry_space_group_name_Hall '-I 4 2'
_cell_length_a 3.9935
_cell_length_b 3.9935
_cell_length_c 31.8185
_cell_angle_alpha 90.00
_cell_angle_beta 90.00
_cell_angle_gamma 90.00
loop_
_atom_site_label
_atom_site_fract_x
_atom_site_fract_y
_atom_site_fract_z
La1 0.0000 0.0000 0.1659
Nd1 0.0000 0.0000 0.5000
Mn1 0.0000 0.5000 0.0821
Mn2 0.0000 0.5000 0.2500
Si1 0.0000 0.0000 0.0410
Si2 0.0000 0.0000 0.2908
Si3 0.0000 0.0000 0.3770
```

Theoretical powder XRD pattern
Compound: NaNp3O8
Radiation: Cu Kα, 1.54184 Å
Structure: DFT lattice parameters and positions (PBE)

Top 8 peaks for 5° ≤ 2θ ≤ 70°, in order of rising 2θ:
Position (°2θ)	I_rel	(hkl)
15.33	100	0 0 3
15.66	43	1 0 1
30.29	47	0 2 1
31.61	36	2 0 2
36.47	46	0 2 4
39.77	19	2 0 5
47.64	19	0 2 7
55.48	21	2 2 3

Structural model:
```
data_NaNp3O8
_chemical_formula_sum 'Na3 Np9 O24'
_symmetry_space_group_name_H-M 'R -3 m'
_symmetry_Int_Tables_number 166
_symmetry_space_group_name_Hall '-R 3 2"'
_cell_length_a 6.9144
_cell_length_b 6.9144
_cell_length_c 17.3451
_cell_angle_alpha 90.00
_cell_angle_beta 90.00
_cell_angle_gamma 120.00
loop_
_atom_site_label
_atom_site_fract_x
_atom_site_fract_y
_atom_site_fract_z
Na1 0.0000 0.0000 0.0000
Np1 0.0000 0.5000 0.5000
O1 0.0000 0.0000 0.2264
O2 0.0563 0.5282 0.7739
```

Theoretical powder XRD pattern
Compound: PmIn4Br6
Radiation: Cu Kα, 1.54184 Å
Structure: DFT lattice parameters and positions (PBE)

Top 8 peaks for 5° ≤ 2θ ≤ 70°, in order of rising 2θ:
Position (°2θ)	I_rel	(hkl)
13.22	26	1 0 1
28.59	100	2 1 2
29.21	15	2 2 0
32.75	50	3 1 0
33.89	32	0 0 4
45.33	14	2 2 4
47.85	32	3 1 4
57.43	17	2 1 6

Structural model:
```
data_PmIn4Br6
_chemical_formula_sum 'Pm2 In8 Br12'
_symmetry_space_group_name_H-M 'P 4/m n c'
_symmetry_Int_Tables_number 128
_symmetry_space_group_name_Hall '-P 4 2n'
_cell_length_a 8.6470
_cell_length_b 8.6470
_cell_length_c 10.5792
_cell_angle_alpha 90.00
_cell_angle_beta 90.00
_cell_angle_gamma 90.00
loop_
_atom_site_label
_atom_site_fract_x
_atom_site_fract_y
_atom_site_fract_z
Pm1 0.0000 0.0000 0.0000
In1 0.1436 0.3564 0.2500
Br1 0.0000 0.0000 0.2735
Br2 0.1600 0.7068 0.0000
```

Theoretical powder XRD pattern
Compound: Tb6PmPr2Tm
Radiation: Cu Kα, 1.54184 Å
Structure: DFT lattice parameters and positions (PBE)

Top 8 peaks for 5° ≤ 2θ ≤ 70°, in order of rising 2θ:
Position (°2θ)	I_rel	(hkl)
28.48	57	1 3 2
30.17	67	0 2 3
30.44	93	3 1 -1
31.23	80	1 5 0
31.41	57	2 4 -1
31.53	99	2 2 2
33.22	100	1 3 -3
60.45	30	4 0 4

Structural model:
```
data_Tb6PmPr2Tm
_chemical_formula_sum 'Tb24 Pm4 Pr8 Tm4'
_symmetry_space_group_name_H-M 'C 1 2/c 1'
_symmetry_Int_Tables_number 15
_symmetry_space_group_name_Hall '-C 2yc'
_cell_length_a 9.0921
_cell_length_b 15.1105
_cell_length_c 9.7792
_cell_angle_alpha 90.00
_cell_angle_beta 98.90
_cell_angle_gamma 90.00
loop_
_atom_site_label
_atom_site_fract_x
_atom_site_fract_y
_atom_site_fract_z
Tb1 0.0679 0.1906 0.4430
Tb2 0.0988 0.3940 0.6192
Tb3 0.2041 0.2227 0.8123
Pm1 0.0000 0.0171 0.7500
Pr1 0.2461 0.0504 0.0425
Tm1 0.0000 0.4071 0.2500
```